Record 1
Starting from a DFT-relaxed cell (PBE+U, the Materials Project), the powder diffraction line list of BaEuFeCuO5 was calculated for CuKα.
Peak positions follow from Bragg's law for the DFT cell and can differ from measured ones.

Cell and atoms:
Cell lengths 3.9304, 3.9304, 7.8810 Å; angles 90.00, 90.00, 90.00 degrees
Space group P4mm (No. 99)
Symmetry-distinct sites (fractional):
1 Ba 0.0000 0.0000 0.0000 [1 per cell]
2 Eu 0.0000 0.0000 0.4749 [1 per cell]
3 Fe 0.5000 0.5000 0.7242 [1 per cell]
4 Cu 0.5000 0.5000 0.2520 [1 per cell]
5 O 0.0000 0.5000 0.2798 [2 per cell]
6 O 0.0000 0.5000 0.6634 [2 per cell]
7 O 0.5000 0.5000 0.9604 [1 per cell]

Main lines, in order of rising 2θ (2θ = 10–90°):
(hkl)	2θ (°)	intensity
1 0 0	22.6	13.8
1 0 2	32.2	100.0
1 1 2	39.7	12.2
0 0 4	46.1	6.9
2 0 0	46.2	19.6
1 1 4	57.4	39.6
2 2 0	67.3	14.4
1 0 6	76.5	4.6
3 0 2	76.7	10.7
2 2 4	85.5	4.4

Record 2
Starting from a DFT-relaxed cell (PBE+U, the Materials Project), the powder diffraction line list of Ba2Eu3Mn2Cu2O12 was calculated for CuKα.
Peak positions follow from Bragg's law for the DFT cell and can differ from measured ones.

Cell and atoms:
Cell lengths 3.9051, 3.9051, 36.1545 Å; angles 90.00, 90.00, 90.00 degrees
Space group I4/mmm (No. 139)
Symmetry-distinct sites (fractional):
1 Ba 0.0000 0.0000 0.1048 [4 per cell]
2 Eu 0.0000 0.0000 0.0000 [2 per cell]
3 Eu 0.0000 0.0000 0.2131 [4 per cell]
4 Mn 0.0000 0.0000 0.3345 [4 per cell]
5 Cu 0.0000 0.0000 0.4517 [4 per cell]
6 O 0.0000 0.0000 0.2770 [4 per cell]
7 O 0.0000 0.0000 0.3864 [4 per cell]
8 O 0.0000 0.5000 0.0422 [8 per cell]
9 O 0.0000 0.5000 0.1704 [8 per cell]

Main lines, in order of rising 2θ (2θ = 10–90°):
(hkl)	2θ (°)	intensity
1 0 1	22.9	13.8
1 0 9	32.0	100.0
1 1 0	32.4	56.3
1 1 10	41.1	18.6
0 0 18	45.1	9.4
2 0 0	46.5	32.9
1 1 18	56.7	13.8
2 1 9	57.5	37.3
2 0 18	66.8	10.8
2 2 0	67.9	9.8

Record 3
Starting from a DFT-relaxed cell (PBE+U, the Materials Project), the powder diffraction line list of Ba7Fe6CuF34 was calculated for CuKα.
Peak positions follow from Bragg's law for the DFT cell and can differ from measured ones.

Cell and atoms:
Cell lengths 17.2120, 11.6010, 7.8195 Å; angles 90.00, 101.64, 90.00 degrees
Space group C2/m (No. 12)
Symmetry-distinct sites (fractional):
1 Ba 0.0000 0.0000 0.0000 [2 per cell]
2 Ba 0.1408 0.2996 0.3010 [8 per cell]
3 Ba 0.2356 0.5000 0.8743 [4 per cell]
4 Fe 0.1098 0.2431 0.8005 [8 per cell]
5 Fe 0.1736 0.0000 0.5410 [4 per cell]
6 Cu 0.0000 0.5000 0.5000 [2 per cell]
7 F 0.9998 0.2066 0.2009 [8 per cell]
8 F 0.0605 0.5000 0.3259 [4 per cell]
9 F 0.0848 0.3609 0.6144 [8 per cell]
10 F 0.1083 0.1228 0.6140 [8 per cell]
11 F 0.1111 0.0000 0.3058 [4 per cell]
12 F 0.1199 0.3665 0.9715 [8 per cell]
13 F 0.1341 0.1295 0.9929 [8 per cell]
14 F 0.2216 0.2625 0.8033 [8 per cell]
15 F 0.2379 0.1179 0.4556 [8 per cell]
16 F 0.2463 0.5000 0.2406 [4 per cell]

Main lines, in order of rising 2θ (2θ = 10–90°):
(hkl)	2θ (°)	intensity
3 1 1	22.8	50.8
1 1 -2	24.0	36.5
4 2 0	26.1	100.0
4 2 -1	26.8	42.3
0 2 2	27.9	77.3
4 0 -2	28.1	40.1
3 3 -1	29.1	23.4
2 0 3	38.8	27.0
8 0 -1	42.1	24.8
2 0 -4	46.5	37.1